Simulated powder X-ray diffraction pattern of Rb2MoO4 for Cu Kα, from the GGA+U geometry in Alexandria.

Structural model:
Cell lengths 6.0005, 6.7146, 8.0811 Å; angles 90.00, 105.79, 90.00 degrees
Sites, in units of the cell vectors:
Rb 0.0829 0.2500 0.1087
Rb 0.2244 0.7500 0.5213
Rb 0.7756 0.2500 0.4787
Rb 0.9171 0.7500 0.8913
Mo 0.3682 0.2500 0.7356
Mo 0.6318 0.7500 0.2644
O 0.2410 0.0322 0.8019
O 0.2410 0.4678 0.8019
O 0.2935 0.2500 0.5024
O 0.3205 0.7500 0.1883
O 0.6795 0.2500 0.8117
O 0.7065 0.7500 0.4976
O 0.7590 0.5322 0.1981
O 0.7590 0.9678 0.1981

Principal peaks in the range 15° ≤ 2θ ≤ 90°, most intense first:
two_theta, I (rel.), index
25.3, 100.0, 1 1 1
26.5, 81.6, 0 2 0
27.4, 62.0, 1 1 -2
40.4, 44.5, 2 2 -1
29.9, 41.5, 2 0 -1
37.2, 36.5, 0 1 3
36.0, 35.8, 1 2 -2
23.9, 33.2, 1 0 -2
21.5, 27.4, 1 0 1
50.8, 23.2, 2 1 -4
46.1, 18.3, 1 3 1
17.4, 17.2, 0 1 1